[1]
The following is a calculated X-ray powder pattern of KPm4NdSe8. It was derived from DFT lattice parameters and positions (GGA-PBE), using Cu Kα.

Top 8 peaks for 2θ from 10° to 80°, by intensity:
2θ/deg, intensity, hkl
23.72, 100, 0 2 1
28.70, 96, 0 2 4
40.97, 65, 2 0 8
41.11, 65, 2 2 0
37.59, 50, 0 3 3
12.32, 48, 0 0 3
74.85, 28, 6 0 0
59.44, 20, 0 4 8

Structural model:
```
data_KPm4NdSe8
_chemical_formula_sum 'K3 Pm12 Nd3 Se24'
_space_group_name_H-M_alt 'R 3 m'
_space_group_IT_number 160
_space_group_name_Hall 'R 3 -2"'
_cell_length_a 8.7826
_cell_length_b 8.7826
_cell_length_c 21.6158
_cell_angle_alpha 90.00
_cell_angle_beta 90.00
_cell_angle_gamma 120.00
loop_
_atom_site_label
_atom_site_type_symbol
_atom_site_fract_x
_atom_site_fract_y
_atom_site_fract_z
K1 K 0.0000 0.0000 0.0000
Pm1 Pm 0.0000 0.0000 0.7488
Pm2 Pm 0.0115 0.5058 0.8755
Nd1 Nd 0.0000 0.0000 0.3696
Se1 Se 0.0000 0.0000 0.1392
Se2 Se 0.0000 0.0000 0.6165
Se3 Se 0.0194 0.5097 0.1269
Se4 Se 0.1859 0.3717 0.9517
```

---

[2]
The following is a calculated X-ray powder pattern of KPrNd2. It was derived from DFT lattice parameters and positions (GGA-PBE), using Cu Kα.

Top 8 peaks for 2θ from 10° to 80°, by intensity:
2θ/deg, intensity, hkl
29.93, 100, 0 1 5
35.61, 87, 1 0 10
28.15, 68, 0 1 2
26.24, 46, 0 0 12
32.98, 40, 0 0 15
31.85, 38, 1 0 7
49.19, 37, 1 1 0
56.60, 31, 1 1 12

Structural model:
```
data_KPrNd2
_chemical_formula_sum 'K3 Pr3 Nd6'
_space_group_name_H-M_alt 'R -3 m'
_space_group_IT_number 166
_space_group_name_Hall '-R 3 2"'
_cell_length_a 3.7049
_cell_length_b 3.7049
_cell_length_c 40.7502
_cell_angle_alpha 90.00
_cell_angle_beta 90.00
_cell_angle_gamma 120.00
loop_
_atom_site_label
_atom_site_type_symbol
_atom_site_fract_x
_atom_site_fract_y
_atom_site_fract_z
K1 K 0.0000 0.0000 0.0000
Pr1 Pr 0.0000 0.0000 0.5000
Nd1 Nd 0.0000 0.0000 0.0943
```

---

[3]
The following is a calculated X-ray powder pattern of KPrNd. It was derived from DFT lattice parameters and positions (GGA-PBE), using Cu Kα.

Top 8 peaks for 2θ from 10° to 80°, by intensity:
2θ/deg, intensity, hkl
27.75, 100, 1 1 3
30.66, 69, 1 1 -4
33.53, 44, 2 0 0
56.48, 27, 3 1 3
48.65, 17, 2 0 -7
58.15, 17, 3 1 -4
48.15, 16, 2 2 0
33.89, 16, 2 0 -1

Structural model:
```
data_KPrNd
_chemical_formula_sum 'K4 Pr4 Nd4'
_space_group_name_H-M_alt 'C 1 2/m 1'
_space_group_IT_number 12
_space_group_name_Hall '-C 2y'
_cell_length_a 5.347
_cell_length_b 5.344
_cell_length_c 18.336
_cell_angle_alpha 90.00
_cell_angle_beta 90.16
_cell_angle_gamma 90.00
loop_
_atom_site_label
_atom_site_type_symbol
_atom_site_fract_x
_atom_site_fract_y
_atom_site_fract_z
K1 K 0.246 0.000 0.110
Pr1 Pr 0.248 0.500 0.295
Nd1 Nd 0.249 0.000 0.430
```

---

[4]
The following is a calculated X-ray powder pattern of K2NdS10. It was derived from DFT lattice parameters and positions (GGA-PBE), using Cu Kα.

Top 8 peaks for 2θ from 10° to 80°, by intensity:
2θ/deg, intensity, hkl
21.23, 100, 0 4 1
36.70, 35, 2 2 1
16.07, 33, 0 0 1
33.40, 33, 1 7 1
32.77, 30, 2 2 0
16.22, 29, 1 1 0
41.89, 24, 1 11 0
18.94, 21, 1 3 0

Structural model:
```
data_K2NdS10
_chemical_formula_sum 'K4 Nd2 S20'
_space_group_name_H-M_alt 'P b a m'
_space_group_IT_number 55
_space_group_name_Hall '-P 2 2ab'
_cell_length_a 5.594
_cell_length_b 25.714
_cell_length_c 5.514
_cell_angle_alpha 90.00
_cell_angle_beta 90.00
_cell_angle_gamma 90.00
loop_
_atom_site_label
_atom_site_type_symbol
_atom_site_fract_x
_atom_site_fract_y
_atom_site_fract_z
K1 K 0.003 0.147 0.000
Nd1 Nd 0.000 0.500 0.500
S1 S 0.001 0.040 0.500
S2 S 0.003 0.411 0.185
S3 S 0.234 0.712 0.500
S4 S 0.248 0.788 0.500
```